CsBaI: computed XRD peak list (λ = 1.5418 Å (Cu Kα)), based on a structure optimized by DFT (GGA-PBE).

Largest 10 diffraction maxima, by intensity, 2θ from 5° to 70°:
| d_spacing | Position (°2θ) | Rel. int. | (hkl) |
| --- | --- | --- | --- |
| 3.553 | 25.1 | 1000 | 1 0 3 |
| 3.158 | 28.3 | 482 | 1 1 0 |
| 1.891 | 48.1 | 333 | 2 1 3 |
| 2.763 | 32.4 | 236 | 1 0 5 |
| 2.233 | 40.4 | 182 | 2 0 0 |
| 8.793 | 10.1 | 151 | 0 0 2 |
| 1.804 | 50.6 | 125 | 1 1 8 |
| 1.737 | 52.7 | 117 | 2 1 5 |
| 2.148 | 42.1 | 98 | 1 1 6 |
| 4.396 | 20.2 | 84 | 0 0 4 |

Atomic structure:
a b c (Å): 4.466 4.466 17.585
angles (deg): 90.00 90.00 90.00
Space group I4mm (No. 107)
Symmetry-distinct sites (fractional):
Cs 0.000 0.000 0.000 x2
Ba 0.000 0.000 0.729 x2
I 0.000 0.000 0.345 x2